Starting from a DFT-relaxed cell (PBE+U, the Materials Project), the powder diffractogram of CrInO3 was computed for Cu Kα.
Lines closer than 0.1° are merged.

The 10 most intense peaks (5° ≤ 2θ ≤ 70°), by angle:
(hkl)	2theta	d [Å]	I (rel.)
1 0 1	23.54	3.780	11
1 1 1	26.24	3.396	15
2 0 0	32.87	2.725	18
1 2 1	33.15	2.702	100
0 0 2	34.18	2.624	21
0 4 0	47.02	1.932	14
2 0 2	48.14	1.890	18
3 1 1	54.77	1.676	14
0 4 2	59.40	1.556	11
1 2 3	60.54	1.529	20

Cell lengths 5.450, 7.730, 5.247 Å; angles 90.00, 90.00, 90.00 degrees
Element x y z (fractional)
Cr: 0.000 0.000 0.000
Cr: 0.000 0.500 0.000
Cr: 0.500 0.000 0.500
Cr: 0.500 0.500 0.500
In: 0.061 0.250 0.477
In: 0.439 0.750 0.977
In: 0.561 0.250 0.023
In: 0.939 0.750 0.523
O: 0.058 0.750 0.128
O: 0.198 0.569 0.694
O: 0.198 0.931 0.694
O: 0.302 0.069 0.194
O: 0.302 0.431 0.194
O: 0.442 0.250 0.628
O: 0.558 0.750 0.372
O: 0.698 0.569 0.806
O: 0.698 0.931 0.806
O: 0.802 0.069 0.306
O: 0.802 0.431 0.306
O: 0.942 0.250 0.872